(1)
This entry pairs a crystal structure of Tl2CdSnBr with its calculated XRD peak list. Radiation: Cu Kα X-rays. Structure: a cell relaxed with GGA-PBE.
Intensities are scaled so that the largest is 100.

Peak list (10 most intense, 5 to 70 degrees two-theta, by intensity)
| d [Å] | 2theta | intensity |
| --- | --- | --- |
| 3.416 | 26.09 | 100 |
| 3.005 | 29.73 | 82 |
| 2.076 | 43.61 | 58 |
| 5.740 | 15.44 | 38 |
| 2.870 | 31.16 | 36 |
| 1.804 | 50.58 | 33 |
| 1.708 | 53.67 | 32 |
| 2.125 | 42.54 | 31 |
| 2.663 | 33.66 | 24 |
| 4.151 | 21.41 | 17 |

Structural model:
abc: 6.0109 6.0109 5.7399
angles: 90.00 90.00 90.00
Sites, in units of the cell vectors:
1 Tl 0.0000 0.5000 0.0000
2 Tl 0.5000 0.0000 0.0000
3 Cd 0.0000 0.0000 0.5000
4 Sn 0.5000 0.5000 0.0000
5 Br 0.5000 0.5000 0.5000

=====

(2)
This entry pairs a crystal structure of SrCd5Br12 with its calculated XRD peak list. Radiation: Cu Kα X-rays. Structure: a cell relaxed with GGA-PBE.
Intensities are scaled so that the largest is 100.

Peak list (10 most intense, 5 to 70 degrees two-theta, by intensity)
| d [Å] | 2theta | intensity |
| --- | --- | --- |
| 6.934 | 12.77 | 100 |
| 3.181 | 28.05 | 88 |
| 2.831 | 31.61 | 82 |
| 2.044 | 44.32 | 53 |
| 2.193 | 41.17 | 45 |
| 2.490 | 36.08 | 35 |
| 3.465 | 25.71 | 33 |
| 1.733 | 52.81 | 26 |
| 1.942 | 46.79 | 23 |
| 1.591 | 57.98 | 20 |

Structural model:
abc: 7.1615 7.1615 13.8677
angles: 90.05 90.05 120.05
Sites, in units of the cell vectors:
1 Sr 0.0000 0.0000 0.0000
2 Cd 0.1664 0.8336 0.5000
3 Cd 0.3335 0.6665 0.0000
4 Cd 0.5000 0.5000 0.5000
5 Cd 0.6665 0.3335 0.0000
6 Cd 0.8336 0.1664 0.5000
7 Br 0.0004 0.3596 0.1179
8 Br 0.9996 0.6404 0.8821
9 Br 0.1660 0.1660 0.3886
10 Br 0.1669 0.4998 0.6106
11 Br 0.3590 0.3590 0.8818
12 Br 0.3596 0.0004 0.1179
13 Br 0.4998 0.1669 0.6106
14 Br 0.5002 0.8331 0.3894
15 Br 0.6404 0.9996 0.8821
16 Br 0.6410 0.6410 0.1182
17 Br 0.8331 0.5002 0.3894
18 Br 0.8340 0.8340 0.6114